Computed X-ray powder pattern of Cs2NbBiI6 for CuKα, from a crystal structure in Alexandria, relaxed with PBE.

Top 10 peaks for 2θ = 10–90°, in order of falling intensity:
2θ = 28.97°, I 100; 2θ = 25.09°, I 85; 2θ = 41.60°, I 73; 2θ = 29.19°, I 49; 2θ = 20.43°, I 41; 2θ = 51.49°, I 38; 2θ = 41.44°, I 37; 2θ = 14.37°, I 27; 2θ = 49.05°, I 24; 2θ = 75.69°, I 23

Crystal structure
abc: 8.685 8.685 8.685
angles: 119.76 119.76 90.42
Fractional positions:
Cs 0.250 0.750 0.500
Cs 0.750 0.250 0.500
Nb 0.000 0.000 0.000
Bi 0.500 0.500 0.000
I 0.237 0.237 0.474
I 0.237 0.763 0.000
I 0.239 0.239 0.000
I 0.761 0.761 0.000
I 0.763 0.237 0.000
I 0.763 0.763 0.526